This entry pairs a crystal structure of TbTcGe2Ir with its computed X-ray diffraction stick pattern. Radiation: Cu Kα, 1.54184 Å. Structure: a structure optimized by DFT (PBE).
Neutral-atom scattering factors, no anomalous dispersion.

Cell lengths 4.2839, 4.2839, 9.9712 Å; angles 90.00, 90.00, 90.00 degrees
Space group I-4m2 (No. 119)
One atom of each set of equivalent atoms:
Tb 0.0000 0.0000 0.0000
Tc 0.0000 0.5000 0.2500
Ge 0.0000 0.0000 0.3724
Ir 0.0000 0.5000 0.7500

Top 10 peaks for 2θ = 5–70°, low angle first:
2theta  Rel. int.  (hkl)
17.8  13  0 0 2
22.6  15  1 0 1
34.1  43  1 0 3
34.6  100  1 1 2
42.2  53  2 0 0
47.2  17  1 1 4
50.5  13  1 0 5
55.3  22  2 1 3
61.2  18  2 2 0
63.9  19  1 1 6